1.
Diffraction record for Li4Mn3V3Cr2O16. The X-ray powder pattern is theoretical, not measured: it uses a GGA+U-relaxed structure and Cu Kα (weighted mean of Kα1 and Kα2).
Intensities are scaled so that the largest is 100.

Atomic structure:
```
data_Li4Mn3V3Cr2O16
_cell_length_a 5.8545
_cell_length_b 5.9153
_cell_length_c 9.5779
_cell_angle_alpha 89.44
_cell_angle_beta 88.64
_cell_angle_gamma 61.00
_space_group_name_H-M_alt 'P 1'
_space_group_IT_number 1
loop_
_space_group_symop_operation_xyz
'x,y,z'
loop_
_atom_site_label
_atom_site_type_symbol
_atom_site_fract_x
_atom_site_fract_y
_atom_site_fract_z
Li1 Li 0.0000 0.0000 0.0000
Li2 Li 0.0094 0.0268 0.5006
Li3 Li 0.3404 0.3324 0.8990
Li4 Li 0.6729 0.6802 0.4011
Mn1 Mn 0.1734 0.1775 0.2155
Mn2 Mn 0.3434 0.8399 0.7169
Mn3 Mn 0.8397 0.3519 0.7194
V1 V 0.1727 0.6713 0.2180
V2 V 0.6674 0.1753 0.2191
V3 V 0.8333 0.8506 0.7163
Cr1 Cr 0.3359 0.3570 0.4897
Cr2 Cr 0.6757 0.6619 0.9870
O1 O 0.0070 0.0189 0.8129
O2 O 0.0077 0.0131 0.3141
O3 O 0.0465 0.5105 0.3472
O4 O 0.1523 0.6959 0.6060
O5 O 0.1583 0.1950 0.6028
O6 O 0.3300 0.8206 0.1007
O7 O 0.3382 0.3371 0.1099
O8 O 0.4903 0.4952 0.3404
O9 O 0.4951 0.0575 0.3478
O10 O 0.5410 0.9593 0.8433
O11 O 0.5423 0.5044 0.8475
O12 O 0.6742 0.6712 0.6132
O13 O 0.6804 0.1776 0.6103
O14 O 0.8285 0.3268 0.1038
O15 O 0.8364 0.8384 0.1130
O16 O 0.9703 0.5266 0.8395
```

Peak list (12 most intense, 15° ≤ 2θ ≤ 90°, low angle first)
2θ 18.5, intensity 100.0, hkl 0 0 2
2θ 19.5, intensity 79.3, hkl 1 0 1
2θ 19.7, intensity 30.4, hkl 1 1 1
2θ 19.8, intensity 27.1, hkl 1 0 -1
2θ 20.0, intensity 30.0, hkl 1 1 -1
2θ 25.3, intensity 30.0, hkl 0 1 -2
2θ 35.5, intensity 31.6, hkl 1 2 2
2θ 35.9, intensity 28.1, hkl 0 2 -1
2θ 39.6, intensity 37.3, hkl 0 2 -2
2θ 45.1, intensity 33.8, hkl 0 2 3
2θ 60.0, intensity 24.0, hkl 0 2 -5
2θ 62.2, intensity 23.1, hkl 2 -2 0



2.
Diffraction record for Li4Mn3V2Cr3O16. The X-ray powder pattern is theoretical, not measured: it uses a GGA+U-relaxed structure and Cu Kα (weighted mean of Kα1 and Kα2).
Intensities are scaled so that the largest is 100.

Atomic structure:
```
data_Li4Mn3V2Cr3O16
_cell_length_a 5.8622
_cell_length_b 5.8859
_cell_length_c 9.5095
_cell_angle_alpha 90.46
_cell_angle_beta 90.06
_cell_angle_gamma 119.25
_space_group_name_H-M_alt 'P 1'
_space_group_IT_number 1
loop_
_space_group_symop_operation_xyz
'x,y,z'
loop_
_atom_site_label
_atom_site_type_symbol
_atom_site_fract_x
_atom_site_fract_y
_atom_site_fract_z
Li1 Li 0.0000 0.0000 0.0000
Li2 Li 0.0013 0.0030 0.4984
Li3 Li 0.3331 0.6592 0.5950
Li4 Li 0.6628 0.3197 0.0991
Mn1 Mn 0.1699 0.3372 0.2791
Mn2 Mn 0.3361 0.1671 0.7808
Mn3 Mn 0.8276 0.1638 0.7795
V1 V 0.3301 0.6735 0.0067
V2 V 0.6689 0.3430 0.5036
Cr1 Cr 0.1686 0.8260 0.2815
Cr2 Cr 0.6608 0.8259 0.2812
Cr3 Cr 0.8279 0.6552 0.7798
O1 O 0.0030 0.0059 0.1864
O2 O 0.0373 0.5102 0.1557
O3 O 0.1542 0.8012 0.9058
O4 O 0.1614 0.3216 0.8936
O5 O 0.3291 0.6531 0.3868
O6 O 0.3346 0.1718 0.3964
O7 O 0.4695 0.5078 0.1524
O8 O 0.4756 0.9513 0.1503
O9 O 0.5219 0.0347 0.6564
O10 O 0.5389 0.4891 0.6391
O11 O 0.6639 0.3229 0.8854
O12 O 0.6698 0.8366 0.8958
O13 O 0.8363 0.1734 0.3972
O14 O 0.8366 0.6674 0.3978
O15 O 0.9599 0.4648 0.6561
O16 O 0.9993 0.9979 0.6865
```

Peak list (12 most intense, 15° ≤ 2θ ≤ 90°, low angle first)
2θ 18.7, intensity 100.0, hkl 0 0 2
2θ 19.6, intensity 49.6, hkl 1 0 -1
2θ 19.8, intensity 78.5, hkl 0 1 1
2θ 19.9, intensity 28.2, hkl -1 1 1
2θ 25.7, intensity 23.3, hkl 0 1 2
2θ 33.3, intensity 26.6, hkl 1 -1 3
2θ 35.8, intensity 23.3, hkl 1 1 2
2θ 36.0, intensity 36.5, hkl -1 2 2
2θ 36.3, intensity 25.1, hkl 2 0 -1
2θ 36.7, intensity 26.9, hkl 2 -2 1
2θ 45.7, intensity 49.1, hkl 0 2 3
2θ 60.8, intensity 23.3, hkl 2 -2 5



3.
Diffraction record for Li4Mn3V2Cr3O16. The X-ray powder pattern is theoretical, not measured: it uses a GGA+U-relaxed structure and Cu Kα (weighted mean of Kα1 and Kα2).
Intensities are scaled so that the largest is 100.

Atomic structure:
```
data_Li4Mn3V2Cr3O16
_cell_length_a 5.8212
_cell_length_b 5.8344
_cell_length_c 9.4170
_cell_angle_alpha 89.63
_cell_angle_beta 90.00
_cell_angle_gamma 60.11
_space_group_name_H-M_alt 'P 1'
_space_group_IT_number 1
loop_
_space_group_symop_operation_xyz
'x,y,z'
loop_
_atom_site_label
_atom_site_type_symbol
_atom_site_fract_x
_atom_site_fract_y
_atom_site_fract_z
Li1 Li 0.0000 0.0000 0.0000
Li2 Li 0.0015 0.9969 0.4990
Li3 Li 0.3392 0.3213 0.3973
Li4 Li 0.6705 0.6587 0.9013
Mn1 Mn 0.1733 0.1635 0.7182
Mn2 Mn 0.6632 0.1640 0.7181
Mn3 Mn 0.8321 0.3356 0.2190
V1 V 0.3319 0.3362 0.9965
V2 V 0.6667 0.6666 0.4954
Cr1 Cr 0.1725 0.6547 0.7171
Cr2 Cr 0.3415 0.8241 0.2170
Cr3 Cr 0.8341 0.8241 0.2169
O1 O 0.9999 0.0000 0.3116
O2 O 0.0018 0.9958 0.8116
O3 O 0.0457 0.4728 0.8465
O4 O 0.1682 0.6632 0.1033
O5 O 0.1694 0.1670 0.1010
O6 O 0.3383 0.3238 0.6109
O7 O 0.3388 0.8223 0.6003
O8 O 0.4800 0.4740 0.8472
O9 O 0.4846 0.0304 0.8420
O10 O 0.5245 0.5109 0.3426
O11 O 0.5272 0.9457 0.3455
O12 O 0.6635 0.1669 0.1010
O13 O 0.6720 0.6557 0.1098
O14 O 0.8355 0.3287 0.6017
O15 O 0.8397 0.8209 0.5999
O16 O 0.9646 0.5112 0.3425
```

Peak list (12 most intense, 15° ≤ 2θ ≤ 90°, low angle first)
2θ 18.8, intensity 100.0, hkl 0 0 2
2θ 19.9, intensity 68.0, hkl 1 0 -1
2θ 20.0, intensity 76.8, hkl 0 1 -1
2θ 33.5, intensity 28.4, hkl 0 1 3
2θ 36.1, intensity 25.3, hkl -1 1 2
2θ 36.3, intensity 46.4, hkl 2 1 2
2θ 36.9, intensity 62.8, hkl 2 2 1
2θ 40.6, intensity 31.3, hkl 2 0 2
2θ 46.1, intensity 30.0, hkl 2 2 3
2θ 46.3, intensity 46.1, hkl 2 0 3
2θ 61.6, intensity 32.7, hkl 2 2 -5
2θ 63.8, intensity 39.8, hkl 2 4 0



4.
Diffraction record for Li4MnCrW2O12. The X-ray powder pattern is theoretical, not measured: it uses a GGA+U-relaxed structure and Cu Kα (weighted mean of Kα1 and Kα2).
Intensities are scaled so that the largest is 100.

Atomic structure:
```
data_Li4MnCrW2O12
_cell_length_a 5.0878
_cell_length_b 5.3539
_cell_length_c 7.3879
_cell_angle_alpha 86.16
_cell_angle_beta 89.92
_cell_angle_gamma 89.90
_space_group_name_H-M_alt 'P 1'
_space_group_IT_number 1
loop_
_space_group_symop_operation_xyz
'x,y,z'
loop_
_atom_site_label
_atom_site_type_symbol
_atom_site_fract_x
_atom_site_fract_y
_atom_site_fract_z
Li1 Li 0.0000 0.0000 0.0000
Li2 Li 0.0003 0.0427 0.5177
Li3 Li 0.4981 0.5429 0.0205
Li4 Li 0.4999 0.4962 0.4967
Mn1 Mn 0.0009 0.4639 0.2304
Cr1 Cr 0.4963 0.9659 0.7327
W1 W 0.5009 0.9663 0.2328
W2 W 0.9973 0.4697 0.7309
O1 O 0.1168 0.4458 0.4771
O2 O 0.1902 0.1428 0.7813
O3 O 0.1986 0.7585 0.1641
O4 O 0.3050 0.2630 0.1642
O5 O 0.3121 0.6428 0.7824
O6 O 0.3824 0.9506 0.4777
O7 O 0.6151 0.9499 0.9776
O8 O 0.6896 0.6454 0.2814
O9 O 0.6986 0.2624 0.6675
O10 O 0.8046 0.7663 0.6655
O11 O 0.8135 0.1470 0.2835
O12 O 0.8823 0.4515 0.9785
```

Peak list (12 most intense, 15° ≤ 2θ ≤ 90°, low angle first)
2θ 19.9, intensity 12.8, hkl 0 1 1
2θ 21.2, intensity 35.1, hkl 1 0 -1
2θ 24.2, intensity 100.0, hkl 1 1 0
2θ 33.6, intensity 37.3, hkl 0 2 0
2θ 35.2, intensity 25.4, hkl 1 -1 2
2θ 40.8, intensity 17.6, hkl 1 0 -3
2θ 43.2, intensity 8.6, hkl 0 2 -2
2θ 49.5, intensity 18.7, hkl 2 2 0
2θ 54.6, intensity 17.1, hkl 1 3 0
2θ 54.7, intensity 8.5, hkl -2 2 2
2θ 56.9, intensity 13.6, hkl 3 1 0
2θ 62.2, intensity 9.4, hkl 1 3 -2